Starting from a GGA-PBE-relaxed structure, the X-ray diffraction stick pattern of SiH3CNO was computed for Cu Kα (weighted mean of Kα1 and Kα2).
No peak broadening, texture or thermal motion is included.

Top 6 peaks for 2θ from 10° to 80°, sorted by position:
2theta	I_rel	(hkl)
15.1	53.4	1 0 1
18.7	61.5	1 1 1
22.1	100.0	0 2 0
24.8	29.9	1 0 2
25.7	85.4	2 1 1
26.9	26.6	1 2 1

Structure:
```
data_SiH3CNO
_cell_length_a 8.786
_cell_length_b 8.059
_cell_length_c 7.851
_cell_angle_alpha 90.00
_cell_angle_beta 90.00
_cell_angle_gamma 90.00
_symmetry_space_group_name_H-M 'P n m a'
_symmetry_Int_Tables_number 62
_symmetry_space_group_name_Hall '-P 2ac 2n'
loop_
_atom_site_label
_atom_site_type_symbol
_atom_site_fract_x
_atom_site_fract_y
_atom_site_fract_z
Si1 Si 0.245 0.250 0.158
H1 H 0.155 0.097 0.126
H2 H 0.202 0.750 0.838
C1 C 0.014 0.750 0.406
N1 N 0.096 0.750 0.529
O1 O 0.072 0.250 0.711
```